Diffraction record for Li5Mn8B8O24. The XRD peak list is calculated, not measured: it uses a structure optimized by DFT (GGA+U) and Cu Ka.
Lines closer than 0.1° are merged.

Principal peaks in the range 10 to 90 degrees two-theta, low angle first:
| 2θ (°) | I_rel |
| --- | --- |
| 19.40 | 72.9 |
| 21.26 | 100.0 |
| 21.34 | 30.7 |
| 25.56 | 35.2 |
| 25.75 | 34.8 |
| 26.29 | 41.9 |
| 33.42 | 26.9 |
| 33.72 | 33.0 |
| 33.90 | 37.9 |
| 35.11 | 88.9 |

Atomic structure:
```
data_Li5Mn8B8O24
_chemical_formula_sum 'Li5 Mn8 B8 O24'
_cell_length_a 5.318
_cell_length_b 9.231
_cell_length_c 11.417
_cell_angle_alpha 67.05
_cell_angle_beta 77.26
_cell_angle_gamma 89.06
_symmetry_space_group_name_H-M 'P 1'
_symmetry_Int_Tables_number 1
_symmetry_space_group_name_Hall 'P 1'
loop_
_atom_site_label
_atom_site_type_symbol
_atom_site_fract_x
_atom_site_fract_y
_atom_site_fract_z
Li1 Li 0.000 0.000 0.000
Li2 Li 0.045 0.016 0.273
Li3 Li 0.291 0.232 0.510
Li4 Li 0.505 0.498 0.000
Li5 Li 0.799 0.726 0.511
Mn1 Mn 0.027 0.341 0.294
Mn2 Mn 0.264 0.542 0.545
Mn3 Mn 0.295 0.911 0.791
Mn4 Mn 0.483 0.137 0.041
Mn5 Mn 0.538 0.824 0.290
Mn6 Mn 0.772 0.044 0.544
Mn7 Mn 0.789 0.412 0.791
Mn8 Mn 0.989 0.641 0.041
B1 B 0.054 0.676 0.290
B2 B 0.264 0.588 0.800
B3 B 0.268 0.870 0.542
B4 B 0.497 0.800 0.036
B5 B 0.532 0.154 0.303
B6 B 0.751 0.371 0.550
B7 B 0.773 0.088 0.797
B8 B 0.984 0.300 0.044
O1 O 0.016 0.062 0.814
O2 O 0.022 0.877 0.527
O3 O 0.085 0.156 0.063
O4 O 0.092 0.408 0.081
O5 O 0.118 0.694 0.846
O6 O 0.141 0.516 0.739
O7 O 0.266 0.840 0.989
O8 O 0.269 0.638 0.343
O9 O 0.364 0.964 0.598
O10 O 0.376 0.261 0.328
O11 O 0.441 0.774 0.500
O12 O 0.452 0.058 0.246
O13 O 0.500 0.367 0.547
O14 O 0.506 0.560 0.816
O15 O 0.594 0.901 0.082
O16 O 0.612 0.669 0.036
O17 O 0.629 0.197 0.837
O18 O 0.652 0.006 0.743
O19 O 0.765 0.339 0.990
O20 O 0.773 0.135 0.337
O21 O 0.852 0.478 0.595
O22 O 0.918 0.800 0.301
O23 O 0.924 0.277 0.507
O24 O 0.980 0.582 0.231
```